Entry 1:
Simulated XRD peak list of Cu3Rh3Se8 for Cu Kα (λ = 1.5418 Å), from a GGA-PBE-relaxed structure.

The 10 most intense peaks (2θ = 5–70°), low angle first:
- 6.002 Å, I = 31
- 3.676 Å, I = 13
- 3.136 Å, I = 57
- 3.002 Å, I = 13
- 2.600 Å, I = 85
- 2.001 Å, I = 38
- 1.838 Å, I = 100
- 1.758 Å, I = 7
- 1.502 Å, I = 14
- 1.354 Å, I = 9

```
data_Cu3Rh3Se8
_chemical_formula_sum 'Cu9 Rh9 Se24'
_space_group_name_H-M_alt 'R -3 m'
_space_group_IT_number 166
_space_group_name_Hall '-R 3 2"'
_cell_length_a 7.3579
_cell_length_b 7.3579
_cell_length_c 17.9886
_cell_angle_alpha 90.00
_cell_angle_beta 90.00
_cell_angle_gamma 120.00
loop_
_atom_site_label
_atom_site_type_symbol
_atom_site_fract_x
_atom_site_fract_y
_atom_site_fract_z
Cu1 Cu 0.0000 0.0000 0.0000
Cu2 Cu 0.0000 0.0000 0.3768
Rh1 Rh 0.0000 0.5000 0.5000
Se1 Se 0.0000 0.0000 0.2405
Se2 Se 0.0248 0.5124 0.7537
```

---

Entry 2:
Simulated XRD peak list of Sm5SN4 for Cu Kα (λ = 1.5418 Å), from a GGA-PBE-relaxed structure.

The 10 most intense peaks (2θ = 5–70°), low angle first:
- 3.009 Å, I = 100
- 2.619 Å, I = 61
- 2.580 Å, I = 25
- 2.033 Å, I = 2
- 1.852 Å, I = 20
- 1.838 Å, I = 35
- 1.577 Å, I = 31
- 1.560 Å, I = 11
- 1.505 Å, I = 18
- 1.404 Å, I = 3

```
data_Sm5SN4
_chemical_formula_sum 'Sm10 S2 N8'
_space_group_name_H-M_alt 'I 4/m m m'
_space_group_IT_number 139
_space_group_name_Hall '-I 4 2'
_cell_length_a 3.704
_cell_length_b 3.704
_cell_length_c 25.804
_cell_angle_alpha 90.00
_cell_angle_beta 90.00
_cell_angle_gamma 90.00
loop_
_atom_site_label
_atom_site_type_symbol
_atom_site_fract_x
_atom_site_fract_y
_atom_site_fract_z
Sm1 Sm 0.000 0.000 0.000
Sm2 Sm 0.000 0.000 0.202
Sm3 Sm 0.000 0.000 0.391
S1 S 0.000 0.000 0.500
N1 N 0.000 0.000 0.103
N2 N 0.000 0.000 0.298
```

---

Entry 3:
Simulated XRD peak list of FeNiRh3 for Cu Kα (λ = 1.5418 Å), from a GGA-PBE-relaxed structure.

The 10 most intense peaks (2θ = 5–70°), low angle first:
- 4.202 Å, I = 42
- 3.889 Å, I = 91
- 2.212 Å, I = 58
- 2.162 Å, I = 14
- 2.101 Å, I = 100
- 2.072 Å, I = 6
- 1.944 Å, I = 26
- 1.783 Å, I = 59
- 1.685 Å, I = 6
- 1.621 Å, I = 22

```
data_FeNiRh3
_chemical_formula_sum 'Fe3 Ni3 Rh9'
_space_group_name_H-M_alt 'R -3 m'
_space_group_IT_number 166
_space_group_name_Hall '-R 3 2"'
_cell_length_a 5.2018
_cell_length_b 5.2018
_cell_length_c 11.6665
_cell_angle_alpha 90.00
_cell_angle_beta 90.00
_cell_angle_gamma 120.00
loop_
_atom_site_label
_atom_site_type_symbol
_atom_site_fract_x
_atom_site_fract_y
_atom_site_fract_z
Fe1 Fe 0.0000 0.0000 0.0000
Ni1 Ni 0.0000 0.0000 0.5000
Rh1 Rh 0.0000 0.5000 0.0000
```

---

Entry 4:
Simulated XRD peak list of La4Sb5H for Cu Kα (λ = 1.5418 Å), from a GGA-PBE-relaxed structure.

The 10 most intense peaks (2θ = 5–70°), low angle first:
- 3.518 Å, I = 45
- 3.043 Å, I = 100
- 2.842 Å, I = 13
- 2.584 Å, I = 79
- 2.246 Å, I = 24
- 2.056 Å, I = 30
- 1.893 Å, I = 16
- 1.571 Å, I = 16
- 1.517 Å, I = 22
- 1.362 Å, I = 16

```
data_La4Sb5H
_chemical_formula_sum 'La8 Sb10 H2'
_space_group_name_H-M_alt 'I m m m'
_space_group_IT_number 71
_space_group_name_Hall '-I 2 2'
_cell_length_a 4.492
_cell_length_b 11.007
_cell_length_c 12.410
_cell_angle_alpha 90.00
_cell_angle_beta 90.00
_cell_angle_gamma 90.00
loop_
_atom_site_label
_atom_site_type_symbol
_atom_site_fract_x
_atom_site_fract_y
_atom_site_fract_z
La1 La 0.000 0.000 0.184
La2 La 0.000 0.206 0.500
Sb1 Sb 0.000 0.335 0.190
Sb2 Sb 0.000 0.500 0.500
H1 H 0.000 0.000 0.500
```

---

Entry 5:
Simulated XRD peak list of TbTm3Ga4 for Cu Kα (λ = 1.5418 Å), from a GGA-PBE-relaxed structure.

The 10 most intense peaks (2θ = 5–70°), low angle first:
- 3.545 Å, I = 12
- 3.529 Å, I = 6
- 2.503 Å, I = 100
- 2.044 Å, I = 6
- 1.773 Å, I = 12
- 1.765 Å, I = 6
- 1.585 Å, I = 5
- 1.580 Å, I = 3
- 1.446 Å, I = 24
- 1.443 Å, I = 12

```
data_TbTm3Ga4
_chemical_formula_sum 'Tb2 Tm6 Ga8'
_space_group_name_H-M_alt 'P m m a'
_space_group_IT_number 51
_cell_length_a 10.028
_cell_length_b 7.059
_cell_length_c 5.013
_cell_angle_alpha 90.00
_cell_angle_beta 90.00
_cell_angle_gamma 90.00
loop_
_space_group_symop_operation_xyz
'x,y,z'
'-x,-y,-z'
'-x+1/2,-y,z'
'x+1/2,y,-z'
'x+1/2,-y,-z'
'-x+1/2,y,z'
'-x,y,-z'
'x,-y,z'
loop_
_atom_site_label
_atom_site_type_symbol
_atom_site_fract_x
_atom_site_fract_y
_atom_site_fract_z
Tb1 Tb 0.000 0.000 0.000
Tm1 Tm 0.000 0.500 0.000
Tm2 Tm 0.250 0.000 0.498
Tm3 Tm 0.250 0.500 0.498
Ga1 Ga 0.000 0.254 0.500
Ga2 Ga 0.250 0.254 0.997
```

---

Entry 6:
Simulated XRD peak list of Y4IrRh2 for Cu Kα (λ = 1.5418 Å), from a GGA-PBE-relaxed structure.

The 10 most intense peaks (2θ = 5–70°), low angle first:
- 7.943 Å, I = 35
- 4.121 Å, I = 24
- 3.144 Å, I = 12
- 2.427 Å, I = 100
- 2.416 Å, I = 99
- 2.311 Å, I = 11
- 1.712 Å, I = 34
- 1.403 Å, I = 17
- 1.397 Å, I = 34
- 1.395 Å, I = 17

```
data_Y4IrRh2
_chemical_formula_sum 'Y12 Ir3 Rh6'
_space_group_name_H-M_alt 'R -3 m'
_space_group_IT_number 166
_space_group_name_Hall '-R 3 2"'
_cell_length_a 4.8314
_cell_length_b 4.8314
_cell_length_c 23.8302
_cell_angle_alpha 90.00
_cell_angle_beta 90.00
_cell_angle_gamma 120.00
loop_
_atom_site_label
_atom_site_type_symbol
_atom_site_fract_x
_atom_site_fract_y
_atom_site_fract_z
Y1 Y 0.0000 0.0000 0.1247
Y2 Y 0.0000 0.0000 0.3755
Ir1 Ir 0.0000 0.0000 0.0000
Rh1 Rh 0.0000 0.0000 0.2503
```

---

Entry 7:
Simulated XRD peak list of Rb3Tl4Br8 for Cu Kα (λ = 1.5418 Å), from a GGA-PBE-relaxed structure.

The 10 most intense peaks (2θ = 5–70°), low angle first:
- 7.920 Å, I = 29
- 3.420 Å, I = 100
- 2.432 Å, I = 13
- 2.419 Å, I = 50
- 2.404 Å, I = 13
- 1.982 Å, I = 13
- 1.967 Å, I = 13
- 1.711 Å, I = 8
- 1.530 Å, I = 16
- 1.391 Å, I = 8

```
data_Rb3Tl4Br8
_chemical_formula_sum 'Rb6 Tl8 Br16'
_space_group_name_H-M_alt 'C 1 2/m 1'
_space_group_IT_number 12
_cell_length_a 13.664
_cell_length_b 13.688
_cell_length_c 9.615
_cell_angle_alpha 90.00
_cell_angle_beta 134.61
_cell_angle_gamma 90.00
loop_
_space_group_symop_operation_xyz
'x,y,z'
'-x,-y,-z'
'-x,y,-z'
'x,-y,z'
'x+1/2,y+1/2,z'
'-x+1/2,-y+1/2,-z'
'-x+1/2,y+1/2,-z'
'x+1/2,-y+1/2,z'
loop_
_atom_site_label
_atom_site_type_symbol
_atom_site_fract_x
_atom_site_fract_y
_atom_site_fract_z
Rb1 Rb 0.000 0.000 0.000
Rb2 Rb 0.250 0.250 0.500
Tl1 Tl 0.000 0.500 0.000
Tl2 Tl 0.000 0.500 0.500
Tl3 Tl 0.250 0.250 0.000
Br1 Br 0.000 0.253 0.000
Br2 Br 0.000 0.275 0.500
Br3 Br 0.220 0.500 0.494
Br4 Br 0.223 0.500 0.951
```

---

Entry 8:
Simulated XRD peak list of Pm2TiMn2N6 for Cu Kα (λ = 1.5418 Å), from a GGA-PBE-relaxed structure.

The 10 most intense peaks (2θ = 5–70°), low angle first:
- 5.186 Å, I = 19
- 3.043 Å, I = 34
- 2.822 Å, I = 100
- 2.625 Å, I = 50
- 2.479 Å, I = 18
- 2.069 Å, I = 24
- 1.922 Å, I = 20
- 1.629 Å, I = 19
- 1.589 Å, I = 22
- 1.474 Å, I = 28

```
data_Pm2TiMn2N6
_chemical_formula_sum 'Pm6 Ti3 Mn6 N18'
_space_group_name_H-M_alt 'R -3 m'
_space_group_IT_number 166
_space_group_name_Hall '-R 3 2"'
_cell_length_a 5.6438
_cell_length_b 5.6438
_cell_length_c 15.5585
_cell_angle_alpha 90.00
_cell_angle_beta 90.00
_cell_angle_gamma 120.00
loop_
_atom_site_label
_atom_site_type_symbol
_atom_site_fract_x
_atom_site_fract_y
_atom_site_fract_z
Pm1 Pm 0.0000 0.0000 0.2191
Ti1 Ti 0.0000 0.0000 0.0000
Mn1 Mn 0.0000 0.0000 0.4359
N1 N 0.0124 0.5062 0.7488
```

---

Entry 9:
Simulated XRD peak list of In2Hg7Pb2 for Cu Kα (λ = 1.5418 Å), from a GGA-PBE-relaxed structure.

The 10 most intense peaks (2θ = 5–70°), low angle first:
- 2.853 Å, I = 66
- 2.773 Å, I = 16
- 2.687 Å, I = 100
- 2.607 Å, I = 17
- 2.494 Å, I = 50
- 2.458 Å, I = 30
- 2.446 Å, I = 13
- 1.862 Å, I = 13
- 1.662 Å, I = 15
- 1.528 Å, I = 17

```
data_In2Hg7Pb2
_chemical_formula_sum 'In4 Hg14 Pb4'
_space_group_name_H-M_alt 'C 1 2/m 1'
_space_group_IT_number 12
_cell_length_a 11.488
_cell_length_b 9.832
_cell_length_c 5.840
_cell_angle_alpha 90.00
_cell_angle_beta 112.73
_cell_angle_gamma 90.00
loop_
_space_group_symop_operation_xyz
'x,y,z'
'-x,-y,-z'
'-x,y,-z'
'x,-y,z'
'x+1/2,y+1/2,z'
'-x+1/2,-y+1/2,-z'
'-x+1/2,y+1/2,-z'
'x+1/2,-y+1/2,z'
loop_
_atom_site_label
_atom_site_type_symbol
_atom_site_fract_x
_atom_site_fract_y
_atom_site_fract_z
In1 In 0.234 0.000 0.006
Hg1 Hg 0.000 0.500 0.500
Hg2 Hg 0.066 0.000 0.302
Hg3 Hg 0.172 0.241 0.654
Pb1 Pb 0.000 0.323 0.000
```

---

Entry 10:
Simulated XRD peak list of Pu3MnN5 for Cu Kα (λ = 1.5418 Å), from a GGA-PBE-relaxed structure.

The 10 most intense peaks (2θ = 5–70°), low angle first:
- 3.497 Å, I = 42
- 2.796 Å, I = 71
- 2.779 Å, I = 100
- 2.711 Å, I = 43
- 2.288 Å, I = 21
- 2.259 Å, I = 57
- 2.047 Å, I = 29
- 1.736 Å, I = 22
- 1.633 Å, I = 23
- 1.468 Å, I = 21

```
data_Pu3MnN5
_chemical_formula_sum 'Pu12 Mn4 N20'
_space_group_name_H-M_alt 'I 4/m c m'
_space_group_IT_number 140
_space_group_name_Hall '-I 4 2c'
_cell_length_a 6.472
_cell_length_b 6.472
_cell_length_c 10.844
_cell_angle_alpha 90.00
_cell_angle_beta 90.00
_cell_angle_gamma 90.00
loop_
_atom_site_label
_atom_site_type_symbol
_atom_site_fract_x
_atom_site_fract_y
_atom_site_fract_z
Pu1 Pu 0.000 0.000 0.250
Pu2 Pu 0.172 0.328 0.000
Mn1 Mn 0.000 0.500 0.250
N1 N 0.000 0.000 0.000
N2 N 0.150 0.350 0.356
```

---

Entry 11:
Simulated XRD peak list of Zn3Re4 for Cu Kα (λ = 1.5418 Å), from a GGA-PBE-relaxed structure.

The 10 most intense peaks (2θ = 5–70°), low angle first:
- 11.318 Å, I = 13
- 5.659 Å, I = 25
- 2.810 Å, I = 11
- 2.210 Å, I = 100
- 2.141 Å, I = 47
- 2.003 Å, I = 7
- 1.702 Å, I = 6
- 1.617 Å, I = 9
- 1.514 Å, I = 15
- 1.463 Å, I = 3

```
data_Zn3Re4
_chemical_formula_sum 'Zn6 Re8'
_space_group_name_H-M_alt 'I 4/m m m'
_space_group_IT_number 139
_space_group_name_Hall '-I 4 2'
_cell_length_a 3.028
_cell_length_b 3.028
_cell_length_c 22.635
_cell_angle_alpha 90.00
_cell_angle_beta 90.00
_cell_angle_gamma 90.00
loop_
_atom_site_label
_atom_site_type_symbol
_atom_site_fract_x
_atom_site_fract_y
_atom_site_fract_z
Zn1 Zn 0.000 0.000 0.000
Zn2 Zn 0.000 0.000 0.285
Re1 Re 0.000 0.000 0.138
Re2 Re 0.000 0.000 0.426
```

---

Entry 12:
Simulated XRD peak list of Sr3Pu3MoN8 for Cu Kα (λ = 1.5418 Å), from a GGA-PBE-relaxed structure.

The 10 most intense peaks (2θ = 5–70°), low angle first:
- 5.964 Å, I = 72
- 4.934 Å, I = 20
- 2.982 Å, I = 40
- 2.918 Å, I = 32
- 2.808 Å, I = 98
- 2.467 Å, I = 100
- 1.784 Å, I = 35
- 1.707 Å, I = 33
- 1.531 Å, I = 19
- 1.482 Å, I = 32

```
data_Sr3Pu3MoN8
_chemical_formula_sum 'Sr9 Pu9 Mo3 N24'
_space_group_name_H-M_alt 'R -3 m'
_space_group_IT_number 166
_space_group_name_Hall '-R 3 2"'
_cell_length_a 6.8293
_cell_length_b 6.8293
_cell_length_c 17.8915
_cell_angle_alpha 90.00
_cell_angle_beta 90.00
_cell_angle_gamma 120.00
loop_
_atom_site_label
_atom_site_type_symbol
_atom_site_fract_x
_atom_site_fract_y
_atom_site_fract_z
Sr1 Sr 0.0000 0.5000 0.0000
Pu1 Pu 0.0000 0.5000 0.5000
Mo1 Mo 0.0000 0.0000 0.5000
N1 N 0.0000 0.0000 0.2348
N2 N 0.0250 0.5125 0.2280
```

---

Entry 13:
Simulated XRD peak list of Sm7Tm16Th6 for Cu Kα (λ = 1.5418 Å), from a GGA-PBE-relaxed structure.

The 10 most intense peaks (2θ = 5–70°), low angle first:
- 3.184 Å, I = 30
- 3.002 Å, I = 91
- 2.757 Å, I = 100
- 2.636 Å, I = 25
- 2.599 Å, I = 41
- 2.351 Å, I = 21
- 1.950 Å, I = 16
- 1.838 Å, I = 26
- 1.801 Å, I = 19
- 1.568 Å, I = 41

```
data_Sm7Tm16Th6
_chemical_formula_sum 'Sm28 Tm64 Th24'
_space_group_name_H-M_alt 'F m -3 m'
_space_group_IT_number 225
_space_group_name_Hall '-F 4 2 3'
_cell_length_a 15.597
_cell_length_b 15.597
_cell_length_c 15.597
_cell_angle_alpha 90.00
_cell_angle_beta 90.00
_cell_angle_gamma 90.00
loop_
_atom_site_label
_atom_site_type_symbol
_atom_site_fract_x
_atom_site_fract_y
_atom_site_fract_z
Sm1 Sm 0.000 0.000 0.000
Sm2 Sm 0.000 0.250 0.250
Tm1 Tm 0.121 0.121 0.121
Tm2 Tm 0.159 0.159 0.341
Th1 Th 0.000 0.000 0.330
```